Diffraction record for CsBe4Nb3O12. The X-ray diffraction stick pattern is computed, not measured: it uses a cell relaxed with PBE and Cu Kα (λ = 1.5418 Å).

Largest 10 diffraction maxima, sorted by position, 2θ = 5–70°:
| two_theta | d/Å | I (rel.) |
| --- | --- | --- |
| 17.21 | 5.153 | 19 |
| 22.74 | 3.910 | 100 |
| 28.66 | 3.115 | 16 |
| 29.76 | 3.002 | 87 |
| 34.82 | 2.577 | 23 |
| 41.99 | 2.152 | 14 |
| 42.79 | 2.113 | 25 |
| 48.82 | 1.866 | 24 |
| 49.35 | 1.847 | 16 |
| 58.39 | 1.581 | 9 |

Cell and atoms:
```
data_CsBe4Nb3O12
_chemical_formula_sum 'Cs3 Be12 Nb9 O36'
_space_group_name_H-M_alt 'R 3 2'
_space_group_IT_number 155
_space_group_name_Hall 'R 3 2"'
_cell_length_a 10.3068
_cell_length_b 10.3068
_cell_length_c 8.1137
_cell_angle_alpha 90.00
_cell_angle_beta 90.00
_cell_angle_gamma 120.00
loop_
_atom_site_label
_atom_site_type_symbol
_atom_site_fract_x
_atom_site_fract_y
_atom_site_fract_z
_atom_site_occupancy
Cs1 Cs 0.0000 0.0000 0.0000 1
Be1 Be 0.0000 0.0000 0.5000 1
Be2 Be 0.0000 0.4474 0.5000 1
Nb1 Nb 0.0000 0.5497 0.0000 1
O1 O 0.0000 0.5969 0.5000 1
O2 O 0.0000 0.8460 0.5000 1
O3 O 0.0366 0.2296 0.2151 1
```

---

Diffraction record for CsNpBeS4. The X-ray diffraction stick pattern is computed, not measured: it uses a cell relaxed with PBE and Cu Kα (λ = 1.5418 Å).

Largest 10 diffraction maxima, sorted by position, 2θ = 5–70°:
| two_theta | d/Å | I (rel.) |
| --- | --- | --- |
| 9.91 | 8.927 | 57 |
| 19.89 | 4.464 | 28 |
| 20.64 | 4.303 | 28 |
| 20.72 | 4.287 | 100 |
| 24.91 | 3.574 | 38 |
| 27.75 | 3.214 | 32 |
| 32.40 | 2.763 | 42 |
| 34.38 | 2.608 | 29 |
| 42.16 | 2.143 | 23 |
| 45.15 | 2.008 | 22 |

Cell and atoms:
```
data_CsNpBeS4
_chemical_formula_sum 'Cs2 Np2 Be2 S8'
_space_group_name_H-M_alt 'P 1 21/m 1'
_space_group_IT_number 11
_cell_length_a 6.1119
_cell_length_b 6.4290
_cell_length_c 9.3878
_cell_angle_alpha 90.00
_cell_angle_beta 108.02
_cell_angle_gamma 90.00
loop_
_space_group_symop_operation_xyz
'x,y,z'
'-x,-y,-z'
'-x,y+1/2,-z'
'x,-y+1/2,z'
loop_
_atom_site_label
_atom_site_type_symbol
_atom_site_fract_x
_atom_site_fract_y
_atom_site_fract_z
_atom_site_occupancy
Cs1 Cs 0.2064 0.2500 0.4462 1
Np1 Np 0.3162 0.7500 0.0502 1
Be1 Be 0.1289 0.2500 0.8497 1
S1 S 0.1263 0.2500 0.0703 1
S2 S 0.2053 0.7500 0.2957 1
S3 S 0.3297 0.5029 0.8155 1
```

---

Diffraction record for CsBePO4. The X-ray diffraction stick pattern is computed, not measured: it uses a cell relaxed with PBE and Cu Kα (λ = 1.5418 Å).

Largest 10 diffraction maxima, sorted by position, 2θ = 5–70°:
| two_theta | d/Å | I (rel.) |
| --- | --- | --- |
| 22.40 | 3.968 | 100 |
| 24.26 | 3.670 | 92 |
| 24.59 | 3.620 | 88 |
| 28.90 | 3.090 | 39 |
| 32.42 | 2.762 | 58 |
| 33.51 | 2.674 | 35 |
| 36.15 | 2.485 | 40 |
| 36.37 | 2.470 | 27 |
| 36.80 | 2.443 | 26 |
| 37.16 | 2.420 | 49 |

Cell and atoms:
```
data_CsBePO4
_chemical_formula_sum 'Cs2 Be2 P2 O8'
_space_group_name_H-M_alt 'P 1 21/m 1'
_space_group_IT_number 11
_cell_length_a 4.4329
_cell_length_b 7.2393
_cell_length_c 8.2169
_cell_angle_alpha 90.00
_cell_angle_beta 105.00
_cell_angle_gamma 90.00
loop_
_space_group_symop_operation_xyz
'x,y,z'
'-x,-y,-z'
'-x,y+1/2,-z'
'x,-y+1/2,z'
loop_
_atom_site_label
_atom_site_type_symbol
_atom_site_fract_x
_atom_site_fract_y
_atom_site_fract_z
_atom_site_occupancy
Cs1 Cs 0.0999 0.2500 0.2897 1
Be1 Be 0.1286 0.2500 0.7601 1
P1 P 0.3737 0.7500 0.2426 1
O1 O 0.0707 0.7500 0.0949 1
O2 O 0.2112 0.7500 0.3907 1
O3 O 0.3939 0.0873 0.7554 1
```

---

Diffraction record for CsPmBeO3. The X-ray diffraction stick pattern is computed, not measured: it uses a cell relaxed with PBE and Cu Kα (λ = 1.5418 Å).

Largest 10 diffraction maxima, sorted by position, 2θ = 5–70°:
| two_theta | d/Å | I (rel.) |
| --- | --- | --- |
| 11.86 | 7.460 | 45 |
| 22.76 | 3.907 | 38 |
| 23.85 | 3.730 | 57 |
| 26.57 | 3.355 | 73 |
| 27.68 | 3.223 | 100 |
| 29.32 | 3.046 | 34 |
| 33.23 | 2.696 | 90 |
| 34.00 | 2.637 | 53 |
| 43.67 | 2.073 | 35 |
| 46.69 | 1.945 | 29 |

Cell and atoms:
```
data_CsPmBeO3
_chemical_formula_sum 'Cs2 Pm2 Be2 O6'
_space_group_name_H-M_alt 'P 1 21/m 1'
_space_group_IT_number 11
_cell_length_a 7.9759
_cell_length_b 3.5732
_cell_length_c 8.3538
_cell_angle_alpha 90.00
_cell_angle_beta 110.71
_cell_angle_gamma 90.00
loop_
_space_group_symop_operation_xyz
'x,y,z'
'-x,-y,-z'
'-x,y+1/2,-z'
'x,-y+1/2,z'
loop_
_atom_site_label
_atom_site_type_symbol
_atom_site_fract_x
_atom_site_fract_y
_atom_site_fract_z
_atom_site_occupancy
Cs1 Cs 0.2329 0.2500 0.2014 1
Pm1 Pm 0.1670 0.2500 0.6620 1
Be1 Be 0.3946 0.7500 0.9414 1
O1 O 0.1446 0.7500 0.4716 1
O2 O 0.1883 0.7500 0.8594 1
O3 O 0.4654 0.2500 0.8733 1
```

---

Diffraction record for CsBeSe2O8. The X-ray diffraction stick pattern is computed, not measured: it uses a cell relaxed with PBE and Cu Kα (λ = 1.5418 Å).

Largest 10 diffraction maxima, sorted by position, 2θ = 5–70°:
| two_theta | d/Å | I (rel.) |
| --- | --- | --- |
| 22.72 | 3.914 | 100 |
| 28.48 | 3.134 | 58 |
| 29.57 | 3.020 | 20 |
| 35.84 | 2.506 | 28 |
| 42.85 | 2.110 | 18 |
| 45.15 | 2.008 | 15 |
| 46.39 | 1.957 | 12 |
| 47.12 | 1.929 | 17 |
| 57.06 | 1.614 | 16 |
| 59.97 | 1.542 | 14 |

Cell and atoms:
```
data_CsBeSe2O8
_chemical_formula_sum 'Cs1 Be1 Se2 O8'
_space_group_name_H-M_alt 'P -3'
_space_group_IT_number 147
_cell_length_a 5.0116
_cell_length_b 5.0116
_cell_length_c 9.0614
_cell_angle_alpha 90.00
_cell_angle_beta 90.00
_cell_angle_gamma 120.00
loop_
_space_group_symop_operation_xyz
'x,y,z'
'-x,-y,-z'
'-y,x-y,z'
'y,-x+y,-z'
'-x+y,-x,z'
'x-y,x,-z'
loop_
_atom_site_label
_atom_site_type_symbol
_atom_site_fract_x
_atom_site_fract_y
_atom_site_fract_z
_atom_site_occupancy
Cs1 Cs 0.0000 0.0000 0.0000 1
Be1 Be 0.0000 0.0000 0.5000 1
Se1 Se 0.3333 0.6667 0.6747 1
O1 O 0.0498 0.3173 0.6214 1
O2 O 0.3333 0.6667 0.8583 1
```

---

Diffraction record for CsRb2BeP2. The X-ray diffraction stick pattern is computed, not measured: it uses a cell relaxed with PBE and Cu Kα (λ = 1.5418 Å).

Largest 10 diffraction maxima, sorted by position, 2θ = 5–70°:
| two_theta | d/Å | I (rel.) |
| --- | --- | --- |
| 9.91 | 8.925 | 85 |
| 18.55 | 4.783 | 80 |
| 19.22 | 4.617 | 64 |
| 24.28 | 3.666 | 41 |
| 25.91 | 3.439 | 54 |
| 27.37 | 3.259 | 100 |
| 30.04 | 2.975 | 42 |
| 33.81 | 2.651 | 40 |
| 35.83 | 2.506 | 40 |
| 44.67 | 2.029 | 36 |

Cell and atoms:
```
data_CsRb2BeP2
_chemical_formula_sum 'Cs4 Rb8 Be4 P8'
_space_group_name_H-M_alt 'I b a m'
_space_group_IT_number 72
_space_group_name_Hall '-I 2 2c'
_cell_length_a 8.0423
_cell_length_b 17.8498
_cell_length_c 7.2758
_cell_angle_alpha 90.00
_cell_angle_beta 90.00
_cell_angle_gamma 90.00
loop_
_atom_site_label
_atom_site_type_symbol
_atom_site_fract_x
_atom_site_fract_y
_atom_site_fract_z
_atom_site_occupancy
Cs1 Cs 0.0000 0.0000 0.2500 1
Rb1 Rb 0.1639 0.3393 0.0000 1
Be1 Be 0.0000 0.5000 0.2500 1
P1 P 0.1274 0.4658 0.5000 1
```

---

Diffraction record for Cs2Be2Pb. The X-ray diffraction stick pattern is computed, not measured: it uses a cell relaxed with PBE and Cu Kα (λ = 1.5418 Å).

Largest 10 diffraction maxima, sorted by position, 2θ = 5–70°:
| two_theta | d/Å | I (rel.) |
| --- | --- | --- |
| 6.65 | 13.288 | 100 |
| 26.84 | 3.322 | 25 |
| 28.29 | 3.155 | 54 |
| 31.39 | 2.850 | 54 |
| 37.68 | 2.387 | 19 |
| 38.31 | 2.350 | 10 |
| 46.87 | 1.939 | 20 |
| 52.32 | 1.749 | 15 |
| 62.39 | 1.488 | 12 |
| 64.12 | 1.452 | 14 |

Cell and atoms:
```
data_Cs2Be2Pb
_chemical_formula_sum 'Cs4 Be4 Pb2'
_space_group_name_H-M_alt 'I 4/m m m'
_space_group_IT_number 139
_space_group_name_Hall '-I 4 2'
_cell_length_a 3.3760
_cell_length_b 3.3760
_cell_length_c 26.5757
_cell_angle_alpha 90.00
_cell_angle_beta 90.00
_cell_angle_gamma 90.00
loop_
_atom_site_label
_atom_site_type_symbol
_atom_site_fract_x
_atom_site_fract_y
_atom_site_fract_z
_atom_site_occupancy
Cs1 Cs 0.0000 0.0000 0.1191 1
Be1 Be 0.0000 0.5000 0.2500 1
Pb1 Pb 0.0000 0.0000 0.5000 1
```

---

Diffraction record for CsBe3S. The X-ray diffraction stick pattern is computed, not measured: it uses a cell relaxed with PBE and Cu Kα (λ = 1.5418 Å).

Largest 10 diffraction maxima, sorted by position, 2θ = 5–70°:
| two_theta | d/Å | I (rel.) |
| --- | --- | --- |
| 18.65 | 4.757 | 35 |
| 26.50 | 3.364 | 100 |
| 32.60 | 2.746 | 21 |
| 37.82 | 2.379 | 25 |
| 42.49 | 2.127 | 19 |
| 46.78 | 1.942 | 40 |
| 54.56 | 1.682 | 17 |
| 58.18 | 1.586 | 10 |
| 61.66 | 1.504 | 18 |
| 65.03 | 1.434 | 9 |

Cell and atoms:
```
data_CsBe3S
_chemical_formula_sum 'Cs1 Be3 S1'
_space_group_name_H-M_alt 'P m -3 m'
_space_group_IT_number 221
_space_group_name_Hall '-P 4 2 3'
_cell_length_a 4.7571
_cell_length_b 4.7571
_cell_length_c 4.7571
_cell_angle_alpha 90.00
_cell_angle_beta 90.00
_cell_angle_gamma 90.00
loop_
_atom_site_label
_atom_site_type_symbol
_atom_site_fract_x
_atom_site_fract_y
_atom_site_fract_z
_atom_site_occupancy
Cs1 Cs 0.0000 0.0000 0.0000 1
Be1 Be 0.0000 0.5000 0.5000 1
S1 S 0.5000 0.5000 0.5000 1
```

---

Diffraction record for CsTbBeS3. The X-ray diffraction stick pattern is computed, not measured: it uses a cell relaxed with PBE and Cu Kα (λ = 1.5418 Å).

Largest 10 diffraction maxima, sorted by position, 2θ = 5–70°:
| two_theta | d/Å | I (rel.) |
| --- | --- | --- |
| 10.03 | 8.816 | 49 |
| 11.14 | 7.941 | 30 |
| 20.02 | 4.435 | 31 |
| 20.15 | 4.406 | 31 |
| 22.39 | 3.971 | 42 |
| 24.85 | 3.583 | 51 |
| 29.53 | 3.025 | 100 |
| 30.44 | 2.937 | 67 |
| 37.43 | 2.403 | 28 |
| 37.87 | 2.376 | 25 |

Cell and atoms:
```
data_CsTbBeS3
_chemical_formula_sum 'Cs2 Tb2 Be2 S6'
_space_group_name_H-M_alt 'P 1 21/m 1'
_space_group_IT_number 11
_cell_length_a 9.5276
_cell_length_b 3.9219
_cell_length_c 9.5913
_cell_angle_alpha 90.00
_cell_angle_beta 112.35
_cell_angle_gamma 90.00
loop_
_space_group_symop_operation_xyz
'x,y,z'
'-x,-y,-z'
'-x,y+1/2,-z'
'x,-y+1/2,z'
loop_
_atom_site_label
_atom_site_type_symbol
_atom_site_fract_x
_atom_site_fract_y
_atom_site_fract_z
_atom_site_occupancy
Cs1 Cs 0.2419 0.2500 0.2105 1
Tb1 Tb 0.1479 0.2500 0.6677 1
Be1 Be 0.3940 0.7500 0.9255 1
S1 S 0.1596 0.7500 0.4738 1
S2 S 0.1631 0.7500 0.8744 1
S3 S 0.4636 0.2500 0.8439 1
```

---

Diffraction record for CsUBeS4. The X-ray diffraction stick pattern is computed, not measured: it uses a cell relaxed with PBE and Cu Kα (λ = 1.5418 Å).

Largest 10 diffraction maxima, sorted by position, 2θ = 5–70°:
| two_theta | d/Å | I (rel.) |
| --- | --- | --- |
| 9.90 | 8.931 | 56 |
| 19.88 | 4.465 | 28 |
| 20.61 | 4.310 | 27 |
| 20.67 | 4.296 | 100 |
| 24.86 | 3.582 | 39 |
| 27.65 | 3.227 | 33 |
| 32.37 | 2.766 | 41 |
| 34.29 | 2.615 | 29 |
| 34.74 | 2.582 | 22 |
| 42.06 | 2.148 | 24 |

Cell and atoms:
```
data_CsUBeS4
_chemical_formula_sum 'Cs2 U2 Be2 S8'
_space_group_name_H-M_alt 'P 1 21/m 1'
_space_group_IT_number 11
_cell_length_a 6.1203
_cell_length_b 6.4535
_cell_length_c 9.3901
_cell_angle_alpha 90.00
_cell_angle_beta 108.00
_cell_angle_gamma 90.00
loop_
_space_group_symop_operation_xyz
'x,y,z'
'-x,-y,-z'
'-x,y+1/2,-z'
'x,-y+1/2,z'
loop_
_atom_site_label
_atom_site_type_symbol
_atom_site_fract_x
_atom_site_fract_y
_atom_site_fract_z
_atom_site_occupancy
Cs1 Cs 0.2056 0.2500 0.4459 1
U1 U 0.3145 0.7500 0.0496 1
Be1 Be 0.1291 0.2500 0.8496 1
S1 S 0.1279 0.2500 0.0709 1
S2 S 0.2058 0.7500 0.2953 1
S3 S 0.3290 0.5019 0.8153 1
```

---

Diffraction record for CsSmBeSe3. The X-ray diffraction stick pattern is computed, not measured: it uses a cell relaxed with PBE and Cu Kα (λ = 1.5418 Å).

Largest 10 diffraction maxima, sorted by position, 2θ = 5–70°:
| two_theta | d/Å | I (rel.) |
| --- | --- | --- |
| 9.56 | 9.255 | 26 |
| 10.70 | 8.270 | 36 |
| 28.15 | 3.170 | 100 |
| 28.94 | 3.086 | 56 |
| 35.72 | 2.513 | 23 |
| 36.16 | 2.484 | 20 |
| 38.84 | 2.319 | 29 |
| 42.71 | 2.117 | 21 |
| 43.95 | 2.060 | 19 |
| 46.36 | 1.958 | 19 |

Cell and atoms:
```
data_CsSmBeSe3
_chemical_formula_sum 'Cs2 Sm2 Be2 Se6'
_space_group_name_H-M_alt 'P 1 21/m 1'
_space_group_IT_number 11
_cell_length_a 9.9594
_cell_length_b 4.1206
_cell_length_c 10.0286
_cell_angle_alpha 90.00
_cell_angle_beta 111.69
_cell_angle_gamma 90.00
loop_
_space_group_symop_operation_xyz
'x,y,z'
'-x,-y,-z'
'-x,y+1/2,-z'
'x,-y+1/2,z'
loop_
_atom_site_label
_atom_site_type_symbol
_atom_site_fract_x
_atom_site_fract_y
_atom_site_fract_z
_atom_site_occupancy
Cs1 Cs 0.2409 0.2500 0.2089 1
Sm1 Sm 0.1468 0.2500 0.6688 1
Be1 Be 0.3935 0.7500 0.9240 1
Se1 Se 0.1591 0.7500 0.8801 1
Se2 Se 0.1649 0.7500 0.4715 1
Se3 Se 0.4667 0.2500 0.8401 1
```

---

Diffraction record for CsSrBeSe2. The X-ray diffraction stick pattern is computed, not measured: it uses a cell relaxed with PBE and Cu Kα (λ = 1.5418 Å).

Largest 10 diffraction maxima, sorted by position, 2θ = 5–70°:
| two_theta | d/Å | I (rel.) |
| --- | --- | --- |
| 20.97 | 4.235 | 19 |
| 24.07 | 3.697 | 100 |
| 26.70 | 3.338 | 40 |
| 28.42 | 3.141 | 39 |
| 33.03 | 2.712 | 40 |
| 35.25 | 2.546 | 25 |
| 35.52 | 2.527 | 27 |
| 37.26 | 2.414 | 29 |
| 41.64 | 2.169 | 25 |
| 49.34 | 1.847 | 24 |

Cell and atoms:
```
data_CsSrBeSe2
_chemical_formula_sum 'Cs2 Sr2 Be2 Se4'
_space_group_name_H-M_alt 'P 1 2/c 1'
_space_group_IT_number 13
_cell_length_a 8.2946
_cell_length_b 5.0509
_cell_length_c 8.9516
_cell_angle_alpha 90.00
_cell_angle_beta 101.85
_cell_angle_gamma 90.00
loop_
_space_group_symop_operation_xyz
'x,y,z'
'-x,-y,-z'
'-x,y,-z+1/2'
'x,-y,z+1/2'
loop_
_atom_site_label
_atom_site_type_symbol
_atom_site_fract_x
_atom_site_fract_y
_atom_site_fract_z
_atom_site_occupancy
Cs1 Cs 0.0000 0.2318 0.2500 1
Sr1 Sr 0.5000 0.4862 0.7500 1
Be1 Be 0.5000 0.0000 0.0000 1
Se1 Se 0.2909 0.2414 0.9646 1
```

---

Diffraction record for CsBeTlSe2. The X-ray diffraction stick pattern is computed, not measured: it uses a cell relaxed with PBE and Cu Kα (λ = 1.5418 Å).

Largest 10 diffraction maxima, sorted by position, 2θ = 5–70°:
| two_theta | d/Å | I (rel.) |
| --- | --- | --- |
| 11.17 | 7.920 | 55 |
| 19.39 | 4.577 | 61 |
| 19.70 | 4.505 | 55 |
| 22.94 | 3.877 | 92 |
| 25.99 | 3.429 | 98 |
| 28.38 | 3.145 | 80 |
| 29.07 | 3.071 | 72 |
| 29.67 | 3.011 | 95 |
| 30.58 | 2.924 | 100 |
| 34.11 | 2.629 | 78 |

Cell and atoms:
```
data_CsBeTlSe2
_chemical_formula_sum 'Cs2 Be2 Tl2 Se4'
_space_group_name_H-M_alt 'P 1 2/c 1'
_space_group_IT_number 13
_cell_length_a 7.9294
_cell_length_b 5.1755
_cell_length_c 9.1662
_cell_angle_alpha 90.00
_cell_angle_beta 92.85
_cell_angle_gamma 90.00
loop_
_space_group_symop_operation_xyz
'x,y,z'
'-x,-y,-z'
'-x,y,-z+1/2'
'x,-y,z+1/2'
loop_
_atom_site_label
_atom_site_type_symbol
_atom_site_fract_x
_atom_site_fract_y
_atom_site_fract_z
_atom_site_occupancy
Cs1 Cs 0.0000 0.2110 0.2500 1
Be1 Be 0.5000 0.5000 0.0000 1
Tl1 Tl 0.5000 0.0628 0.2500 1
Se1 Se 0.2839 0.3189 0.9345 1
```